# 1
Diffraction record for Ce4AlTc2. The powder XRD pattern is simulated, not measured: it uses a structure optimized by DFT (GGA-PBE) and Cu Kα, 1.54184 Å.
Intensities are scaled so that the largest is 100.

Peak list (10 most intense, 10° ≤ 2θ ≤ 80°, by angle)
2θ = 14.5°, intensity 28; 2θ = 29.3°, intensity 48; 2θ = 31.7°, intensity 75; 2θ = 31.9°, intensity 100; 2θ = 33.8°, intensity 61; 2θ = 37.9°, intensity 64; 2θ = 38.5°, intensity 62; 2θ = 52.4°, intensity 46; 2θ = 54.7°, intensity 29; 2θ = 66.8°, intensity 26

Crystal structure
abc: 7.565 7.565 7.565
angles: 107.71 107.71 113.06
Fractional coordinates of all 14 atoms:
Ce: 0.009 0.767 0.112
Ce: 0.095 0.483 0.742
Ce: 0.103 0.991 0.758
Ce: 0.233 0.345 0.242
Ce: 0.517 0.259 0.612
Ce: 0.647 0.905 0.388
Ce: 0.655 0.897 0.888
Ce: 0.741 0.353 0.258
Al: 0.250 0.750 0.500
Al: 0.500 0.500 0.000
Tc: 0.037 0.125 0.412
Tc: 0.375 0.963 0.088
Tc: 0.713 0.625 0.588
Tc: 0.875 0.287 0.912



# 2
Diffraction record for LaMgBiSe. The powder XRD pattern is simulated, not measured: it uses a structure optimized by DFT (GGA-PBE) and Cu Kα, 1.54184 Å.
Intensities are scaled so that the largest is 100.

Peak list (10 most intense, 10° ≤ 2θ ≤ 80°, by angle)
2θ = 25.3°, intensity 100; 2θ = 25.9°, intensity 32; 2θ = 31.4°, intensity 62; 2θ = 36.9°, intensity 47; 2θ = 39.9°, intensity 36; 2θ = 44.2°, intensity 16; 2θ = 45.3°, intensity 43; 2θ = 53.2°, intensity 16; 2θ = 55.5°, intensity 28; 2θ = 63.1°, intensity 17

Crystal structure
abc: 4.866 4.866 10.201
angles: 90.00 90.00 90.00
Fractional coordinates of all 8 atoms:
La: 0.250 0.250 0.161
La: 0.750 0.750 0.839
Mg: 0.250 0.750 0.500
Mg: 0.750 0.250 0.500
Bi: 0.250 0.250 0.679
Bi: 0.750 0.750 0.321
Se: 0.250 0.750 0.000
Se: 0.750 0.250 0.000



# 3
Diffraction record for PuTl2I2O2. The powder XRD pattern is simulated, not measured: it uses a structure optimized by DFT (GGA-PBE) and Cu Kα, 1.54184 Å.
Intensities are scaled so that the largest is 100.

Peak list (10 most intense, 10° ≤ 2θ ≤ 80°, by angle)
2θ = 28.4°, intensity 77; 2θ = 29.9°, intensity 100; 2θ = 33.6°, intensity 12; 2θ = 37.1°, intensity 17; 2θ = 40.6°, intensity 35; 2θ = 51.2°, intensity 46; 2θ = 58.7°, intensity 12; 2θ = 66.5°, intensity 15; 2θ = 67.3°, intensity 12; 2θ = 78.0°, intensity 13

Crystal structure
abc: 10.589 10.589 10.589
angles: 155.76 155.76 34.54
Fractional coordinates of all 7 atoms:
Pu: 0.000 0.000 0.000
Tl: 0.394 0.394 0.000
Tl: 0.606 0.606 0.000
I: 0.163 0.163 0.000
I: 0.837 0.837 0.000
O: 0.000 0.500 0.500
O: 0.500 0.000 0.500



# 4
Diffraction record for In12Hg16Pb. The powder XRD pattern is simulated, not measured: it uses a structure optimized by DFT (GGA-PBE) and Cu Kα, 1.54184 Å.
Intensities are scaled so that the largest is 100.

Peak list (10 most intense, 10° ≤ 2θ ≤ 80°, by angle)
2θ = 30.2°, intensity 31; 2θ = 31.1°, intensity 45; 2θ = 31.8°, intensity 16; 2θ = 32.4°, intensity 64; 2θ = 33.1°, intensity 100; 2θ = 33.9°, intensity 35; 2θ = 35.4°, intensity 28; 2θ = 36.1°, intensity 27; 2θ = 37.8°, intensity 34; 2θ = 38.4°, intensity 18

Crystal structure
abc: 10.031 10.031 8.474
angles: 103.16 103.16 99.94
Fractional coordinates of all 29 atoms:
In: 0.000 0.000 0.000
In: 0.002 0.226 0.452
In: 0.076 0.555 0.367
In: 0.226 0.002 0.452
In: 0.303 0.513 0.128
In: 0.331 0.697 0.726
In: 0.513 0.303 0.128
In: 0.555 0.076 0.367
In: 0.657 0.861 0.815
In: 0.697 0.331 0.726
In: 0.721 0.721 0.446
In: 0.861 0.657 0.815
Hg: 0.058 0.824 0.637
Hg: 0.088 0.489 0.768
Hg: 0.128 0.745 0.124
Hg: 0.243 0.243 0.285
Hg: 0.327 0.959 0.010
Hg: 0.424 0.794 0.436
Hg: 0.430 0.430 0.808
Hg: 0.489 0.088 0.768
Hg: 0.492 0.492 0.495
Hg: 0.543 0.757 0.097
Hg: 0.745 0.128 0.124
Hg: 0.757 0.543 0.097
Hg: 0.794 0.424 0.436
Hg: 0.824 0.058 0.637
Hg: 0.889 0.889 0.267
Hg: 0.959 0.327 0.010
Pb: 0.179 0.179 0.812



# 5
Diffraction record for Pr5ErHg6. The powder XRD pattern is simulated, not measured: it uses a structure optimized by DFT (GGA-PBE) and Cu Kα, 1.54184 Å.
Intensities are scaled so that the largest is 100.

Peak list (10 most intense, 10° ≤ 2θ ≤ 80°, by angle)
2θ = 33.0°, intensity 100; 2θ = 33.1°, intensity 20; 2θ = 47.2°, intensity 7; 2θ = 47.4°, intensity 7; 2θ = 47.5°, intensity 7; 2θ = 58.9°, intensity 23; 2θ = 59.0°, intensity 7; 2θ = 59.1°, intensity 15; 2θ = 69.2°, intensity 7; 2θ = 78.6°, intensity 6

Crystal structure
abc: 5.406 7.700 8.575
angles: 90.00 108.23 90.00
Fractional coordinates of all 12 atoms:
Pr: 0.000 0.000 0.000
Pr: 0.330 0.000 0.661
Pr: 0.333 0.500 0.667
Pr: 0.667 0.500 0.333
Pr: 0.670 0.000 0.339
Er: 0.000 0.500 0.000
Hg: 0.161 0.257 0.322
Hg: 0.161 0.743 0.322
Hg: 0.500 0.261 0.000
Hg: 0.500 0.739 0.000
Hg: 0.839 0.257 0.678
Hg: 0.839 0.743 0.678



# 6
Diffraction record for Mg6IrRh. The powder XRD pattern is simulated, not measured: it uses a structure optimized by DFT (GGA-PBE) and Cu Kα, 1.54184 Å.
Intensities are scaled so that the largest is 100.

Peak list (10 most intense, 10° ≤ 2θ ≤ 80°, by angle)
2θ = 12.5°, intensity 100; 2θ = 25.1°, intensity 18; 2θ = 27.6°, intensity 25; 2θ = 30.4°, intensity 30; 2θ = 37.7°, intensity 70; 2θ = 39.4°, intensity 33; 2θ = 41.5°, intensity 21; 2θ = 47.3°, intensity 13; 2θ = 47.7°, intensity 20; 2θ = 70.3°, intensity 22

Crystal structure
abc: 7.788 7.788 7.788
angles: 145.87 145.87 49.03
Fractional coordinates of all 8 atoms:
Mg: 0.101 0.601 0.500
Mg: 0.248 0.248 0.000
Mg: 0.399 0.899 0.500
Mg: 0.601 0.101 0.500
Mg: 0.752 0.752 0.000
Mg: 0.899 0.399 0.500
Ir: 0.000 0.000 0.000
Rh: 0.500 0.500 0.000